Simulated powder XRD pattern
Compound: Mg2Mn3CoS8
Radiation: Cu Kα X-rays
Structure: a DFT-relaxed cell (GGA-PBE, the Materials Project)

Peak list (10 most intense, 5 to 70 degrees two-theta, by intensity)
| hkl | 2theta | d/Å | I (rel.) |
| --- | --- | --- | --- |
| 4 0 0 | 35.4 | 2.538 | 100 |
| 6 2 -2 | 50.9 | 1.795 | 93 |
| 0 0 1 | 15.1 | 5.862 | 86 |
| 3 1 -2 | 29.2 | 3.061 | 74 |
| 2 2 -3 | 46.5 | 1.955 | 40 |
| 8 0 -4 | 63.5 | 1.466 | 18 |
| 5 1 0 | 46.5 | 1.952 | 12 |
| 5 3 -2 | 53.4 | 1.717 | 11 |
| 1 1 1 | 24.8 | 3.590 | 10 |
| 1 1 -4 | 59.7 | 1.549 | 8 |

Structural model:
```
data_Mg2Mn3CoS8
_chemical_formula_sum 'Mg4 Mn6 Co2 S16'
_cell_length_a 12.428
_cell_length_b 7.180
_cell_length_c 7.189
_cell_angle_alpha 90.00
_cell_angle_beta 125.32
_cell_angle_gamma 90.00
_symmetry_space_group_name_H-M 'C 1 2/m 1'
_symmetry_Int_Tables_number 12
loop_
_symmetry_equiv_pos_as_xyz
'x,y,z'
'-x,-y,-z'
'-x,y,-z'
'x,-y,z'
'x+1/2,y+1/2,z'
'-x+1/2,-y+1/2,-z'
'-x+1/2,y+1/2,-z'
'x+1/2,-y+1/2,z'
loop_
_atom_site_label
_atom_site_type_symbol
_atom_site_fract_x
_atom_site_fract_y
_atom_site_fract_z
Mg1 Mg 0.124 0.000 0.376
Mn1 Mn 0.000 0.500 0.500
Mn2 Mn 0.250 0.250 0.000
Co1 Co 0.000 0.500 0.000
S1 S 0.011 0.282 0.771
S2 S 0.229 0.500 0.206
S3 S 0.239 0.500 0.762
```

***

Simulated powder XRD pattern
Compound: MgZr
Radiation: Cu Kα X-rays
Structure: a DFT-relaxed cell (GGA-PBE, the Materials Project)

Peak list (10 most intense, 5 to 70 degrees two-theta, by intensity)
| hkl | 2theta | d/Å | I (rel.) |
| --- | --- | --- | --- |
| 1 0 1 | 34.8 | 2.576 | 100 |
| 1 1 0 | 40.4 | 2.231 | 49 |
| 2 1 1 | 69.9 | 1.346 | 37 |
| 0 0 1 | 19.9 | 4.460 | 34 |
| 2 0 0 | 58.5 | 1.578 | 32 |
| 1 0 0 | 28.3 | 3.156 | 28 |
| 1 1 1 | 45.4 | 1.996 | 15 |
| 1 0 2 | 50.1 | 1.821 | 11 |
| 2 0 1 | 62.4 | 1.488 | 7 |
| 2 1 0 | 66.2 | 1.412 | 5 |

Structural model:
```
data_MgZr
_chemical_formula_sum 'Mg1 Zr1'
_cell_length_a 3.156
_cell_length_b 3.156
_cell_length_c 4.460
_cell_angle_alpha 90.00
_cell_angle_beta 90.00
_cell_angle_gamma 90.00
_symmetry_space_group_name_H-M 'P 4/m m m'
_symmetry_Int_Tables_number 123
_symmetry_space_group_name_Hall '-P 4 2'
loop_
_atom_site_label
_atom_site_type_symbol
_atom_site_fract_x
_atom_site_fract_y
_atom_site_fract_z
Mg1 Mg 0.000 0.000 0.000
Zr1 Zr 0.500 0.500 0.500
```

***

Simulated powder XRD pattern
Compound: KEuHfBiO6
Radiation: Cu Kα X-rays
Structure: a DFT-relaxed cell (GGA-PBE, the Materials Project)

Peak list (10 most intense, 5 to 70 degrees two-theta, by intensity)
| hkl | 2theta | d/Å | I (rel.) |
| --- | --- | --- | --- |
| 0 2 2 | 30.0 | 2.982 | 100 |
| 2 2 0 | 30.1 | 2.971 | 49 |
| 2 4 2 | 53.3 | 1.720 | 22 |
| 4 2 2 | 53.4 | 1.715 | 21 |
| 2 2 4 | 53.1 | 1.724 | 21 |
| 0 0 2 | 21.0 | 4.223 | 19 |
| 0 0 4 | 42.7 | 2.116 | 14 |
| 4 0 0 | 43.2 | 2.095 | 14 |
| 0 4 0 | 42.9 | 2.107 | 14 |
| 0 1 1 | 14.8 | 5.972 | 12 |

Structural model:
```
data_KEuHfBiO6
_chemical_formula_sum 'K4 Eu4 Hf4 Bi4 O24'
_cell_length_a 8.379
_cell_length_b 8.426
_cell_length_c 8.465
_cell_angle_alpha 90.00
_cell_angle_beta 90.00
_cell_angle_gamma 90.00
_symmetry_space_group_name_H-M 'P n n n'
_symmetry_Int_Tables_number 48
loop_
_symmetry_equiv_pos_as_xyz
'x,y,z'
'-x,-y,-z'
'-x+1/2,-y+1/2,z'
'x+1/2,y+1/2,-z'
'x,-y+1/2,-z+1/2'
'-x,y+1/2,z+1/2'
'-x+1/2,y,-z+1/2'
'x+1/2,-y,z+1/2'
loop_
_atom_site_label
_atom_site_type_symbol
_atom_site_fract_x
_atom_site_fract_y
_atom_site_fract_z
K1 K 0.250 0.250 0.250
K2 K 0.250 0.750 0.750
Eu1 Eu 0.250 0.250 0.750
Eu2 Eu 0.250 0.750 0.250
Hf1 Hf 0.000 0.000 0.000
Bi1 Bi 0.000 0.000 0.500
O1 O 0.018 0.037 0.755
O2 O 0.020 0.745 0.502
O3 O 0.245 0.016 0.017
```

***

Simulated powder XRD pattern
Compound: NaAuCl4O2
Radiation: Cu Kα X-rays
Structure: a DFT-relaxed cell (GGA-PBE, the Materials Project)

Peak list (10 most intense, 5 to 70 degrees two-theta, by intensity)
| hkl | 2theta | d/Å | I (rel.) |
| --- | --- | --- | --- |
| 0 2 0 | 16.7 | 5.323 | 100 |
| 1 2 1 | 21.0 | 4.238 | 96 |
| 1 0 1 | 12.6 | 7.006 | 66 |
| 2 1 0 | 16.1 | 5.521 | 46 |
| 2 0 0 | 13.7 | 6.457 | 40 |
| 1 1 1 | 15.1 | 5.852 | 38 |
| 4 1 2 | 36.2 | 2.482 | 33 |
| 3 1 1 | 24.7 | 3.600 | 27 |
| 0 4 0 | 33.7 | 2.661 | 25 |
| 1 4 1 | 36.1 | 2.490 | 21 |

Structural model:
```
data_NaAuCl4O2
_chemical_formula_sum 'Na4 Au4 Cl16 O8'
_cell_length_a 12.914
_cell_length_b 10.645
_cell_length_c 8.340
_cell_angle_alpha 90.00
_cell_angle_beta 90.00
_cell_angle_gamma 90.00
_symmetry_space_group_name_H-M 'P n m a'
_symmetry_Int_Tables_number 62
loop_
_symmetry_equiv_pos_as_xyz
'x,y,z'
'-x,-y,-z'
'-x+1/2,-y,z+1/2'
'x+1/2,y,-z+1/2'
'x+1/2,-y+1/2,-z+1/2'
'-x+1/2,y+1/2,z+1/2'
'-x,y+1/2,-z'
'x,-y+1/2,z'
loop_
_atom_site_label
_atom_site_type_symbol
_atom_site_fract_x
_atom_site_fract_y
_atom_site_fract_z
Na1 Na 0.020 0.250 0.088
Au1 Au 0.072 0.250 0.530
Cl1 Cl 0.033 0.750 0.245
Cl2 Cl 0.077 0.750 0.629
Cl3 Cl 0.177 0.250 0.303
Cl4 Cl 0.220 0.250 0.688
O1 O 0.047 0.501 0.989
```

***

Simulated powder XRD pattern
Compound: Tm2CdSe4
Radiation: Cu Kα X-rays
Structure: a DFT-relaxed cell (GGA-PBE, the Materials Project)

Peak list (10 most intense, 5 to 70 degrees two-theta, by intensity)
| hkl | 2theta | d/Å | I (rel.) |
| --- | --- | --- | --- |
| 4 4 0 | 43.8 | 2.069 | 100 |
| 3 1 1 | 25.2 | 3.528 | 89 |
| 4 0 0 | 30.6 | 2.925 | 67 |
| 5 1 1 | 40.0 | 2.252 | 46 |
| 1 1 1 | 13.1 | 6.756 | 28 |
| 5 5 3 | 60.8 | 1.523 | 20 |
| 4 4 4 | 54.3 | 1.689 | 17 |
| 2 2 0 | 21.5 | 4.137 | 16 |
| 8 0 0 | 63.6 | 1.463 | 16 |
| 5 5 5 | 69.6 | 1.351 | 14 |

Structural model:
abc: 11.702 11.702 11.702
angles: 90.00 90.00 90.00
Space group Fd-3m (No. 227, origin choice 2)
Asymmetric unit:
Tm1 0.000 0.000 0.000 x16
Cd1 0.125 0.125 0.625 x8
Se1 0.008 0.008 0.242 x32

***

Simulated powder XRD pattern
Compound: Dy2Mg
Radiation: Cu Kα X-rays
Structure: a DFT-relaxed cell (GGA-PBE, the Materials Project)

Peak list (10 most intense, 5 to 70 degrees two-theta, by intensity)
| hkl | 2theta | d/Å | I (rel.) |
| --- | --- | --- | --- |
| 1 3 1 | 33.3 | 2.692 | 100 |
| 0 0 2 | 32.7 | 2.741 | 30 |
| 0 4 1 | 26.4 | 3.370 | 27 |
| 0 6 0 | 31.4 | 2.849 | 20 |
| 1 3 3 | 58.7 | 1.573 | 20 |
| 0 2 0 | 10.4 | 8.546 | 19 |
| 1 1 0 | 24.8 | 3.596 | 18 |
| 0 6 1 | 35.5 | 2.528 | 16 |
| 0 6 2 | 46.0 | 1.975 | 14 |
| 1 9 1 | 57.1 | 1.614 | 13 |

Structural model:
```
data_Dy2Mg
_chemical_formula_sum 'Dy8 Mg4'
_cell_length_a 3.679
_cell_length_b 17.091
_cell_length_c 5.481
_cell_angle_alpha 90.00
_cell_angle_beta 90.00
_cell_angle_gamma 90.00
_symmetry_space_group_name_H-M 'C m c m'
_symmetry_Int_Tables_number 63
_symmetry_space_group_name_Hall '-C 2c 2'
loop_
_atom_site_label
_atom_site_type_symbol
_atom_site_fract_x
_atom_site_fract_y
_atom_site_fract_z
Dy1 Dy 0.000 0.094 0.250
Dy2 Dy 0.000 0.226 0.750
Mg1 Mg 0.000 0.435 0.250
```